(1)
This entry pairs a crystal structure of TiOs3 with its computed powder X-ray diffraction pattern. Radiation: a wavelength of 1.5418 Å. Structure: a PBE-relaxed structure.
Intensities are scaled so that the largest is 100.

Cell and atoms:
```
TiOs3
1.0
3.888 0.000 0.000
0.000 3.888 0.000
0.000 0.000 3.888
Ti Os
1 3
Cartesian
0.000 0.000 0.000
0.000 1.944 1.944
1.944 0.000 1.944
1.944 1.944 0.000
```

The 8 most intense peaks (10 to 90 degrees two-theta), by intensity:
2θ 40.2, rel. 100; 2θ 46.7, rel. 49; 2θ 82.2, rel. 38; 2θ 68.2, rel. 32; 2θ 22.9, rel. 16; 2θ 32.6, rel. 14; 2θ 86.8, rel. 11; 2θ 52.6, rel. 8

---

(2)
This entry pairs a crystal structure of Ti2VOs with its computed powder X-ray diffraction pattern. Radiation: a wavelength of 1.5418 Å. Structure: a PBE-relaxed structure.
Intensities are scaled so that the largest is 100.

Cell and atoms:
```
Ti2VOs
1.0
0.000 3.118 3.118
3.118 0.000 3.118
3.118 3.118 0.000
Ti V Os
2 1 1
Cartesian
1.559 1.559 1.559
4.677 4.677 4.677
0.000 0.000 0.000
3.118 3.118 3.118
```

The 8 most intense peaks (10 to 90 degrees two-theta), by intensity:
2θ 40.9, rel. 100; 2θ 24.7, rel. 41; 2θ 74.6, rel. 32; 2θ 28.6, rel. 24; 2θ 48.4, rel. 22; 2θ 59.3, rel. 16; 2θ 88.8, rel. 10; 2θ 65.2, rel. 9